Entry 1:
Calculated PXRD pattern
Compound: RbHgBi2Pb2
Radiation: Cu Ka
Structure: a crystal structure in Alexandria, relaxed with PBE

Principal peaks in the range 10 to 80 degrees two-theta, by angle:
2theta	d_spacing	I (rel.)	(hkl)
19.24	4.612	49	0 1 1
25.51	3.491	38	1 2 1
27.04	3.298	48	0 3 1
27.52	3.241	61	2 2 0
36.49	2.462	100	0 0 2
38.39	2.345	26	0 5 1
40.58	2.223	18	0 6 0
40.86	2.208	20	3 0 1
46.36	1.958	30	2 2 2
65.76	1.420	16	2 3 3

Structural model:
a = 7.4158 Å, b = 13.3398 Å, c = 4.9157 Å
α = 90.00°, β = 90.00°, γ = 90.00°
Sites, in units of the cell vectors:
Rb1 0.0000 0.0000 0.0000
Rb2 0.5000 0.5000 0.5000
Hg1 0.0000 0.5000 0.0000
Hg2 0.5000 0.0000 0.5000
Bi1 0.2213 0.1754 0.5000
Bi2 0.2787 0.6754 0.0000
Bi3 0.7213 0.3246 0.0000
Bi4 0.7787 0.8246 0.5000
Pb1 0.2156 0.8136 0.5000
Pb2 0.2844 0.3136 0.0000
Pb3 0.7156 0.6864 0.0000
Pb4 0.7844 0.1864 0.5000


Entry 2:
Calculated PXRD pattern
Compound: UP2C2N2O8
Radiation: Cu Ka
Structure: a crystal structure in Alexandria, relaxed with PBE

Principal peaks in the range 10 to 80 degrees two-theta, by angle:
2theta	d_spacing	I (rel.)	(hkl)
18.43	4.814	31	0 0 2
18.69	4.748	35	0 1 0
19.08	4.652	73	1 0 -1
21.54	4.126	99	1 -1 1
22.04	4.032	100	0 1 1
23.23	3.829	95	1 0 -2
27.52	3.241	42	1 -1 2
28.25	3.159	36	0 1 2
32.35	2.767	65	1 -2 0
32.48	2.757	30	-2 1 1

Structural model:
a = 5.5380 Å, b = 5.5404 Å, c = 9.9089 Å
α = 91.69°, β = 100.87°, γ = 119.98°
Sites, in units of the cell vectors:
U1 0.0000 0.0000 0.0000
P1 0.4244 0.7221 0.1889
P2 0.5756 0.2779 0.8111
C1 0.0723 0.5287 0.5682
C2 0.9277 0.4713 0.4318
N1 0.1944 0.5775 0.6844
N2 0.8056 0.4225 0.3156
O1 0.2380 0.4006 0.1193
O2 0.2386 0.8517 0.1205
O3 0.3104 0.1481 0.8820
O4 0.4998 0.2332 0.6586
O5 0.5002 0.7668 0.3414
O6 0.6896 0.8519 0.1180
O7 0.7614 0.1483 0.8795
O8 0.7620 0.5994 0.8807